Record 1
# Cs2Zn2CdSe4
Computed X-ray diffraction stick pattern, Cu Ka. Input: a PBE-relaxed structure.
Peak positions follow from Bragg's law for the DFT cell and can differ from measured ones.

Crystal structure
```
Cs2Zn2CdSe4
1.0
8.4604 -2.0672 0.0000
8.4604 2.0672 0.0000
-2.5413 0.0000 7.8052
Cs Zn Cd Se
2 2 1 4
Direct
0.1262 0.1262 0.0342 Cs
0.8738 0.8738 0.9658 Cs
0.3264 0.3264 0.5171 Zn
0.6736 0.6736 0.4829 Zn
0.0000 0.0000 0.5000 Cd
0.2122 0.2122 0.6684 Se
0.4712 0.4712 0.7064 Se
0.5288 0.5288 0.2936 Se
0.7878 0.7878 0.3316 Se
```

Peak list (10 most intense, 5° ≤ 2θ ≤ 70°, most intense first)
| 2θ (°) | intensity |
| --- | --- |
| 30.7 | 100 |
| 27.9 | 68 |
| 31.6 | 48 |
| 48.6 | 47 |
| 26.4 | 46 |
| 34.4 | 42 |
| 25.8 | 39 |
| 43.8 | 38 |
| 27.5 | 32 |
| 40.0 | 27 |

---

Record 2
# Sc11Os4
Computed X-ray diffraction stick pattern, Cu Ka. Input: a PBE-relaxed structure.
Peak positions follow from Bragg's law for the DFT cell and can differ from measured ones.

Crystal structure
```
Sc11Os4
1.0
0.0000 6.6771 6.6771
6.6771 0.0000 6.6771
6.6771 6.6771 0.0000
Sc Os
22 8
Direct
0.1481 0.6173 0.6173 Sc
0.1556 0.1556 0.1556 Sc
0.1556 0.1556 0.5332 Sc
0.1556 0.5332 0.1556 Sc
0.1989 0.1989 0.8011 Sc
0.1989 0.8011 0.1989 Sc
0.1989 0.8011 0.8011 Sc
0.3827 0.3827 0.3827 Sc
0.3827 0.3827 0.8519 Sc
0.3827 0.8519 0.3827 Sc
0.4668 0.8444 0.8444 Sc
0.5332 0.1556 0.1556 Sc
0.6173 0.1481 0.6173 Sc
0.6173 0.6173 0.1481 Sc
0.6173 0.6173 0.6173 Sc
0.8011 0.1989 0.1989 Sc
0.8011 0.1989 0.8011 Sc
0.8011 0.8011 0.1989 Sc
0.8444 0.4668 0.8444 Sc
0.8444 0.8444 0.4668 Sc
0.8444 0.8444 0.8444 Sc
0.8519 0.3827 0.3827 Sc
0.0000 0.0000 0.0000 Os
0.0000 0.0000 0.5000 Os
0.0000 0.5000 0.0000 Os
0.0000 0.5000 0.5000 Os
0.5000 0.0000 0.0000 Os
0.5000 0.0000 0.5000 Os
0.5000 0.5000 0.0000 Os
0.5000 0.5000 0.5000 Os
```

Peak list (10 most intense, 5° ≤ 2θ ≤ 70°, most intense first)
| 2θ (°) | intensity |
| --- | --- |
| 38.1 | 100 |
| 23.1 | 81 |
| 45.0 | 55 |
| 26.7 | 31 |
| 68.9 | 24 |
| 60.4 | 22 |
| 62.2 | 16 |
| 55.0 | 14 |
| 34.9 | 10 |
| 47.2 | 10 |

---

Record 3
# Pm2Zn12Au5
Computed X-ray diffraction stick pattern, Cu Ka. Input: a PBE-relaxed structure.
Peak positions follow from Bragg's law for the DFT cell and can differ from measured ones.

Crystal structure
```
Pm2Zn12Au5
1.0
4.6394 2.6785 4.5060
-4.6394 2.6785 4.5060
0.0000 -5.3571 4.5060
Pm Zn Au
2 12 5
Direct
0.1636 0.1636 0.1636 Pm
0.8364 0.8364 0.8364 Pm
0.1470 0.1469 0.6681 Zn
0.1470 0.6681 0.1470 Zn
0.2016 0.5000 0.7984 Zn
0.2016 0.7984 0.5000 Zn
0.3319 0.8531 0.8530 Zn
0.5000 0.2016 0.7984 Zn
0.5000 0.7984 0.2016 Zn
0.6681 0.1470 0.1470 Zn
0.7984 0.2016 0.5000 Zn
0.7984 0.5000 0.2016 Zn
0.8530 0.3319 0.8530 Zn
0.8530 0.8530 0.3319 Zn
0.0000 0.5000 0.5000 Au
0.3957 0.3957 0.3957 Au
0.5000 0.0000 0.5000 Au
0.5000 0.5000 0.0000 Au
0.6043 0.6043 0.6043 Au
```

Peak list (10 most intense, 5° ≤ 2θ ≤ 70°, most intense first)
| 2θ (°) | intensity |
| --- | --- |
| 38.8 | 100 |
| 43.9 | 67 |
| 39.1 | 61 |
| 12.8 | 58 |
| 40.2 | 52 |
| 39.9 | 38 |
| 33.5 | 33 |
| 56.9 | 31 |
| 40.0 | 27 |
| 28.7 | 27 |

---

Record 4
# CePuIrRh
Computed X-ray diffraction stick pattern, Cu Ka. Input: a PBE-relaxed structure.
Peak positions follow from Bragg's law for the DFT cell and can differ from measured ones.

Crystal structure
```
CePuIrRh
1.0
4.0519 0.0000 0.0000
0.0000 3.8661 0.0000
0.0000 0.0000 10.9873
Ce Pu Ir Rh
2 2 2 2
Direct
0.0000 0.0000 0.0000 Ce
0.0000 0.5000 0.5000 Ce
0.5000 0.0000 0.2757 Pu
0.5000 0.5000 0.7757 Pu
0.0000 0.0000 0.7356 Ir
0.0000 0.5000 0.2356 Ir
0.5000 0.0000 0.5444 Rh
0.5000 0.5000 0.0444 Rh
```

Peak list (10 most intense, 5° ≤ 2θ ≤ 70°, most intense first)
| 2θ (°) | intensity |
| --- | --- |
| 33.0 | 100 |
| 40.6 | 63 |
| 32.6 | 39 |
| 44.7 | 22 |
| 47.0 | 19 |
| 16.1 | 19 |
| 56.4 | 17 |
| 58.4 | 15 |
| 53.0 | 14 |
| 39.6 | 14 |

---

Record 5
# TlHg6Pb6
Computed X-ray diffraction stick pattern, Cu Ka. Input: a PBE-relaxed structure.
Peak positions follow from Bragg's law for the DFT cell and can differ from measured ones.

Crystal structure
```
TlHg6Pb6
1.0
3.1263 -5.4458 0.0000
3.1263 5.4458 0.0000
0.0000 0.0000 11.1744
Tl Hg Pb
1 6 6
Direct
0.0000 0.0000 0.0000 Tl
0.0000 0.5000 0.2444 Hg
0.0000 0.5000 0.7556 Hg
0.5000 0.0000 0.2444 Hg
0.5000 0.0000 0.7556 Hg
0.5000 0.5000 0.2432 Hg
0.5000 0.5000 0.7568 Hg
0.0000 0.0000 0.3567 Pb
0.0000 0.0000 0.6433 Pb
0.3332 0.6668 0.0000 Pb
0.3340 0.6660 0.5000 Pb
0.6660 0.3340 0.5000 Pb
0.6668 0.3332 0.0000 Pb
```

Peak list (10 most intense, 5° ≤ 2θ ≤ 70°, most intense first)
| 2θ (°) | intensity |
| --- | --- |
| 32.7 | 100 |
| 36.8 | 94 |
| 32.9 | 77 |
| 36.2 | 62 |
| 33.0 | 55 |
| 32.0 | 51 |
| 57.6 | 49 |
| 36.7 | 48 |
| 29.1 | 44 |
| 28.4 | 43 |

---

Record 6
# LaSi2Ni6
Computed X-ray diffraction stick pattern, Cu Ka. Input: a PBE-relaxed structure.
Peak positions follow from Bragg's law for the DFT cell and can differ from measured ones.

Crystal structure
```
LaSi2Ni6
1.0
4.0786 0.0000 0.0000
0.0000 4.0786 0.0000
0.0000 0.0000 7.5618
La Si Ni
1 2 6
Direct
0.0000 0.0000 0.0000 La
0.5000 0.5000 0.1751 Si
0.5000 0.5000 0.8249 Si
0.0000 0.0000 0.5000 Ni
0.0000 0.5000 0.3168 Ni
0.0000 0.5000 0.6832 Ni
0.5000 0.0000 0.3168 Ni
0.5000 0.0000 0.6832 Ni
0.5000 0.5000 0.5000 Ni
```

Peak list (10 most intense, 5° ≤ 2θ ≤ 70°, most intense first)
| 2θ (°) | intensity |
| --- | --- |
| 39.3 | 100 |
| 44.4 | 71 |
| 32.3 | 30 |
| 47.9 | 29 |
| 24.8 | 24 |
| 64.6 | 22 |
| 33.2 | 18 |
| 42.1 | 18 |
| 11.7 | 16 |
| 58.4 | 14 |

---

Please write out number 3 again, unchanged.
# Pm2Zn12Au5
Computed X-ray diffraction stick pattern, Cu Ka. Input: a PBE-relaxed structure.
Peak positions follow from Bragg's law for the DFT cell and can differ from measured ones.

Crystal structure
```
Pm2Zn12Au5
1.0
4.6394 2.6785 4.5060
-4.6394 2.6785 4.5060
0.0000 -5.3571 4.5060
Pm Zn Au
2 12 5
Direct
0.1636 0.1636 0.1636 Pm
0.8364 0.8364 0.8364 Pm
0.1470 0.1469 0.6681 Zn
0.1470 0.6681 0.1470 Zn
0.2016 0.5000 0.7984 Zn
0.2016 0.7984 0.5000 Zn
0.3319 0.8531 0.8530 Zn
0.5000 0.2016 0.7984 Zn
0.5000 0.7984 0.2016 Zn
0.6681 0.1470 0.1470 Zn
0.7984 0.2016 0.5000 Zn
0.7984 0.5000 0.2016 Zn
0.8530 0.3319 0.8530 Zn
0.8530 0.8530 0.3319 Zn
0.0000 0.5000 0.5000 Au
0.3957 0.3957 0.3957 Au
0.5000 0.0000 0.5000 Au
0.5000 0.5000 0.0000 Au
0.6043 0.6043 0.6043 Au
```

Peak list (10 most intense, 5° ≤ 2θ ≤ 70°, most intense first)
| 2θ (°) | intensity |
| --- | --- |
| 38.8 | 100 |
| 43.9 | 67 |
| 39.1 | 61 |
| 12.8 | 58 |
| 40.2 | 52 |
| 39.9 | 38 |
| 33.5 | 33 |
| 56.9 | 31 |
| 40.0 | 27 |
| 28.7 | 27 |